[1]
Diffraction record for CeSmS3. The powder X-ray diffraction pattern is theoretical, not measured: it uses a PBE-relaxed structure and copper Kα.
Intensities are scaled so that the largest is 1000.

Cell and atoms:
```
CeSmS3
1.0
7.4608 0.0000 0.0000
0.0000 4.0188 0.0000
0.0000 0.0000 15.4511
Ce Sm S
4 4 12
direct
0.1385 0.2500 0.2056
0.3615 0.7500 0.7056
0.6385 0.2500 0.2944
0.8615 0.7500 0.7944
0.2361 0.7500 0.4564
0.2639 0.2500 0.9564
0.7361 0.7500 0.0436
0.7639 0.2500 0.5436
0.0100 0.2500 0.3922
0.1252 0.7500 0.0677
0.1483 0.2500 0.7802
0.3517 0.7500 0.2802
0.3748 0.2500 0.5677
0.4900 0.7500 0.8922
0.5100 0.2500 0.1078
0.6252 0.7500 0.4323
0.6483 0.2500 0.7198
0.8517 0.7500 0.2198
0.8748 0.2500 0.9323
0.9900 0.7500 0.6078
```

Most intense lines, 2θ = 5–70°, by angle:
Position (°2θ), Rel. int.
24.5, 365
25.8, 1000
26.0, 717
28.2, 525
34.8, 710
38.7, 419

---

[2]
Diffraction record for Pm5Er2Si4. The powder X-ray diffraction pattern is theoretical, not measured: it uses a PBE-relaxed structure and copper Kα.
Intensities are scaled so that the largest is 1000.

Cell and atoms:
```
Pm5Er2Si4
1.0
11.1886 -1.8514 0.0000
11.1886 1.8514 0.0000
-1.1930 0.0000 7.3623
Pm Er Si
5 2 4
direct
0.0000 0.0000 0.0000
0.3474 0.3474 0.0281
0.3901 0.3901 0.6098
0.6099 0.6099 0.3902
0.6526 0.6526 0.9719
0.2214 0.2214 0.6635
0.7786 0.7786 0.3365
0.0921 0.0921 0.6914
0.4762 0.4762 0.3250
0.5238 0.5238 0.6750
0.9079 0.9079 0.3086
```

Most intense lines, 2θ = 5–70°, by angle:
Position (°2θ), Rel. int.
26.9, 408
27.6, 389
28.8, 1000
31.5, 885
35.1, 340
36.6, 341